[1]
Structure and simulated powder diffractogram of Pm4SnPbO (a cell relaxed with PBE; copper Kα).
Kinematic intensities with the Lorentz-polarization factor, no thermal factor.

Main lines, by angle (10° ≤ 2θ ≤ 90°):
d 3.316, I 23
d 3.106, I 46
d 3.102, I 44
d 2.942, I 40
d 2.821, I 27
d 2.651, I 100
d 2.345, I 68
d 1.834, I 41
d 1.803, I 15
d 1.444, I 19
d 1.406, I 29
d 1.274, I 14

Crystal structure
Cell lengths 6.6268, 17.6530, 6.6363 Å; angles 90.00, 90.00, 90.00 degrees
Space group Cmcm (No. 63)
Symmetry-distinct sites (fractional):
1 Pm 0.0000 0.0681 0.2500 [4 per cell]
2 Pm 0.0000 0.4193 0.2500 [4 per cell]
3 Pm 0.2500 0.2500 0.0000 [8 per cell]
4 Sn 0.0000 0.1131 0.7500 [4 per cell]
5 Pb 0.0000 0.3914 0.7500 [4 per cell]
6 O 0.0000 0.2790 0.2500 [4 per cell]



[2]
Structure and simulated powder diffractogram of KAgPb2F6 (a cell relaxed with PBE; copper Kα).
Kinematic intensities with the Lorentz-polarization factor, no thermal factor.

Main lines, by angle (10° ≤ 2θ ≤ 90°):
d 6.364, I 35
d 3.939, I 11
d 3.349, I 100
d 3.182, I 16
d 2.785, I 29
d 2.552, I 13
d 2.475, I 15
d 2.096, I 35
d 1.969, I 18
d 1.868, I 21
d 1.698, I 29
d 1.355, I 15

Crystal structure
Cell lengths 5.5704, 5.5704, 6.3639 Å; angles 90.00, 90.00, 90.00 degrees
Space group P4mm (No. 99)
Symmetry-distinct sites (fractional):
1 K 0.0000 0.0000 0.0000 [1 per cell]
2 Ag 0.5000 0.5000 0.0049 [1 per cell]
3 Pb 0.0000 0.5000 0.4640 [2 per cell]
4 F 0.0000 0.0000 0.6057 [1 per cell]
5 F 0.2565 0.2565 0.2504 [4 per cell]
6 F 0.5000 0.5000 0.6588 [1 per cell]



[3]
Structure and simulated powder diffractogram of BaPuPt10 (a cell relaxed with PBE; copper Kα).
Kinematic intensities with the Lorentz-polarization factor, no thermal factor.

Main lines, by angle (10° ≤ 2θ ≤ 90°):
d 4.762, I 21
d 3.233, I 14
d 2.749, I 19
d 2.381, I 30
d 2.332, I 100
d 2.201, I 32
d 2.094, I 43
d 1.616, I 18
d 1.493, I 24
d 1.375, I 21
d 1.295, I 16
d 1.166, I 25

Crystal structure
Cell lengths 4.4022, 5.5014, 9.5186 Å; angles 90.00, 90.00, 90.00 degrees
Space group Pmmm (No. 47)
Symmetry-distinct sites (fractional):
1 Ba 0.0000 0.0000 0.0000 [1 per cell]
2 Pu 0.0000 0.5000 0.5000 [1 per cell]
3 Pt 0.0000 0.0000 0.3406 [2 per cell]
4 Pt 0.0000 0.5000 0.1779 [2 per cell]
5 Pt 0.5000 0.0000 0.5000 [1 per cell]
6 Pt 0.5000 0.2541 0.2579 [4 per cell]
7 Pt 0.5000 0.5000 0.0000 [1 per cell]



[4]
Structure and simulated powder diffractogram of Na17Tl11Ge (a cell relaxed with PBE; copper Kα).
Kinematic intensities with the Lorentz-polarization factor, no thermal factor.

Main lines, by angle (10° ≤ 2θ ≤ 90°):
d 8.423, I 20
d 4.870, I 100
d 4.838, I 45
d 3.444, I 17
d 2.813, I 26
d 2.808, I 35
d 2.799, I 17
d 2.545, I 65
d 2.525, I 25
d 2.342, I 21
d 2.336, I 37
d 2.329, I 17

Crystal structure
Cell lengths 11.9085, 16.9113, 10.2526 Å; angles 90.00, 125.12, 90.00 degrees
Space group Cm (No. 8)
Symmetry-distinct sites (fractional):
1 Na 0.0000 0.0000 0.0000 [2 per cell]
2 Na 0.0031 0.3352 0.3364 [4 per cell]
3 Na 0.0076 0.0000 0.6085 [2 per cell]
4 Na 0.1263 0.2076 0.6439 [4 per cell]
5 Na 0.2469 0.5000 0.0536 [2 per cell]
6 Na 0.2780 0.3636 0.3385 [4 per cell]
7 Na 0.3192 0.2926 0.0261 [4 per cell]
8 Na 0.3263 0.0000 0.6715 [2 per cell]
9 Na 0.3401 0.0000 0.3388 [2 per cell]
10 Na 0.3965 0.3508 0.7420 [4 per cell]
11 Na 0.4897 0.1533 0.9193 [4 per cell]
12 Tl 0.0348 0.5000 0.1581 [2 per cell]
13 Tl 0.0469 0.0959 0.3355 [4 per cell]
14 Tl 0.1225 0.4062 0.7097 [4 per cell]
15 Tl 0.1421 0.1911 0.1409 [4 per cell]
16 Tl 0.2398 0.0942 0.9518 [4 per cell]
17 Tl 0.3339 0.1914 0.5264 [4 per cell]
18 Ge 0.2000 0.5000 0.5234 [2 per cell]



[5]
Structure and simulated powder diffractogram of TbNd12Y5 (a cell relaxed with PBE; copper Kα).
Kinematic intensities with the Lorentz-polarization factor, no thermal factor.

Main lines, by angle (10° ≤ 2θ ≤ 90°):
d 2.978, I 100
d 2.582, I 34
d 2.572, I 17
d 1.824, I 30
d 1.821, I 6
d 1.556, I 29
d 1.552, I 14
d 1.489, I 12
d 1.184, I 6
d 1.183, I 6
d 1.154, I 9
d 1.151, I 4

Crystal structure
Cell lengths 10.9242, 5.1646, 10.9413 Å; angles 90.00, 90.21, 90.00 degrees
Space group P2/m (No. 10)
Symmetry-distinct sites (fractional):
1 Tb 0.0000 0.0000 0.0000 [1 per cell]
2 Nd 0.0007 0.0000 0.6677 [2 per cell]
3 Nd 0.1654 0.5000 0.1656 [2 per cell]
4 Nd 0.1673 0.5000 0.5004 [2 per cell]
5 Nd 0.3321 0.0000 0.9995 [2 per cell]
6 Nd 0.3342 0.0000 0.3340 [2 per cell]
7 Nd 0.4994 0.5000 0.8328 [2 per cell]
8 Y 0.1665 0.5000 0.8335 [2 per cell]
9 Y 0.3334 0.0000 0.6666 [2 per cell]
10 Y 0.5000 0.5000 0.5000 [1 per cell]



[6]
Structure and simulated powder diffractogram of CePmAu2O8 (a cell relaxed with PBE; copper Kα).
Kinematic intensities with the Lorentz-polarization factor, no thermal factor.

Main lines, by angle (10° ≤ 2θ ≤ 90°):
d 3.154, I 100
d 2.809, I 36
d 2.593, I 21
d 1.986, I 16
d 1.906, I 25
d 1.681, I 42
d 1.585, I 15
d 1.577, I 15
d 1.283, I 6
d 1.256, I 8
d 1.239, I 14
d 1.131, I 11

Crystal structure
Cell lengths 5.6182, 5.6182, 10.3740 Å; angles 90.00, 90.00, 90.00 degrees
Space group I-4 (No. 82)
Symmetry-distinct sites (fractional):
1 Ce 0.0000 0.0000 0.0000 [2 per cell]
2 Pm 0.0000 0.5000 0.2500 [2 per cell]
3 Au 0.0000 0.0000 0.5000 [2 per cell]
4 Au 0.0000 0.5000 0.7500 [2 per cell]
5 O 0.1145 0.8297 0.7885 [8 per cell]
6 O 0.1468 0.3199 0.4636 [8 per cell]



[7]
Structure and simulated powder diffractogram of PrSm5Dy3 (a cell relaxed with PBE; copper Kα).
Kinematic intensities with the Lorentz-polarization factor, no thermal factor.

Main lines, by angle (10° ≤ 2θ ≤ 90°):
d 3.869, I 9
d 3.100, I 10
d 2.923, I 36
d 2.893, I 100
d 2.882, I 46
d 2.870, I 18
d 2.815, I 13
d 2.747, I 15
d 2.712, I 11
d 2.551, I 11
d 2.347, I 11
d 1.665, I 18

Crystal structure
Cell lengths 16.4385, 6.7780, 11.5877 Å; angles 90.00, 109.74, 90.00 degrees
Space group C2/c (No. 15)
Symmetry-distinct sites (fractional):
1 Pr 0.0000 0.2381 0.2500 [4 per cell]
2 Sm 0.0000 0.3149 0.7500 [4 per cell]
3 Sm 0.1104 0.4970 0.0501 [8 per cell]
4 Sm 0.1730 0.0977 0.8528 [8 per cell]
5 Dy 0.0000 0.0000 0.0000 [4 per cell]
6 Dy 0.2404 0.3961 0.3698 [8 per cell]